For CaMo2P2O9, a DFT-relaxed cell (PBE+U, Alexandria) gives the computed powder diffractogram in this record (Cu Kα, 1.54184 Å).

Most intense lines, 10 to 90 degrees two-theta, low angle first:
Position (°2θ)  I (rel.)  (hkl)
16.77  52  2 0 1
21.35  34  3 0 1
24.74  83  1 0 2
26.46  38  0 2 0
29.69  100  1 2 1
32.03  49  5 0 1
51.84  35  7 2 1
55.23  41  4 0 4

Crystal structure
a b c (Å): 15.0859 6.7463 7.4119
angles (deg): 90.00 90.00 90.00
Element x y z (fractional)
Ca 0.2206 0.2500 0.0922
Ca 0.2794 0.7500 0.5922
Ca 0.7206 0.2500 0.4078
Ca 0.7794 0.7500 0.9078
Mo 0.0000 0.0000 0.0000
Mo 0.0000 0.5000 0.0000
Mo 0.1232 0.2500 0.6337
Mo 0.3768 0.7500 0.1337
Mo 0.5000 0.0000 0.5000
Mo 0.5000 0.5000 0.5000
Mo 0.6232 0.2500 0.8663
Mo 0.8768 0.7500 0.3663
P 0.0730 0.7500 0.6269
P 0.1912 0.7500 0.0973
P 0.3088 0.2500 0.5973
P 0.4270 0.2500 0.1269
P 0.5730 0.7500 0.8731
P 0.6912 0.7500 0.4027
P 0.8088 0.2500 0.9027
P 0.9270 0.2500 0.3731
O 0.0064 0.7500 0.4748
O 0.0215 0.7500 0.8133
O 0.0638 0.2500 0.8850
O 0.1344 0.5583 0.0961
O 0.1344 0.9417 0.0961
O 0.1367 0.5697 0.6221
O 0.1367 0.9303 0.6221
O 0.2399 0.2500 0.4387
O 0.2501 0.2500 0.7714
O 0.2499 0.7500 0.2714
O 0.2601 0.7500 0.9387
O 0.3633 0.0697 0.1221
O 0.3633 0.4303 0.1221
O 0.3656 0.0583 0.5961
O 0.3656 0.4417 0.5961
O 0.4362 0.7500 0.3850
O 0.4785 0.2500 0.3133
O 0.4936 0.2500 0.9748
O 0.5064 0.7500 0.0252
O 0.5215 0.7500 0.6867
O 0.5638 0.2500 0.6150
O 0.6344 0.5583 0.4039
O 0.6344 0.9417 0.4039
O 0.6367 0.5697 0.8779
O 0.6367 0.9303 0.8779
O 0.7399 0.2500 0.0613
O 0.7501 0.2500 0.7286
O 0.7499 0.7500 0.2286
O 0.7601 0.7500 0.5613
O 0.8633 0.0697 0.3779
O 0.8633 0.4303 0.3779
O 0.8656 0.0583 0.9039
O 0.8656 0.4417 0.9039
O 0.9362 0.7500 0.1150
O 0.9785 0.2500 0.1867
O 0.9936 0.2500 0.5252